Starting from a DFT-relaxed cell (PBE+U, the Materials Project), the X-ray powder pattern of Tb2WO6 was calculated for a wavelength of 1.5418 Å.
Kinematic intensities with the Lorentz-polarization factor, no thermal factor.

Crystal structure
a b c (Å): 5.3060 9.1842 10.0398
angles (deg): 90.00 90.00 90.00
Space group P2_12_12_1 (No. 19)
Unique sites:
Tb 0.0200 0.1033 0.4652 (multiplicity 4)
Tb 0.0376 0.2191 0.8713 (multiplicity 4)
W 0.0395 0.4955 0.3479 (multiplicity 4)
O 0.0844 0.8437 0.0304 (multiplicity 4)
O 0.1750 0.9524 0.2974 (multiplicity 4)
O 0.1818 0.6382 0.8191 (multiplicity 4)
O 0.1923 0.6400 0.2358 (multiplicity 4)
O 0.2306 0.1141 0.0672 (multiplicity 4)
O 0.2487 0.5898 0.4932 (multiplicity 4)

Largest 10 diffraction maxima, sorted by position, 2θ from 10° to 80°:
2θ 25.66, rel. 33; 2θ 26.30, rel. 62; 2θ 27.17, rel. 100; 2θ 30.53, rel. 26; 2θ 33.12, rel. 67; 2θ 33.79, rel. 34; 2θ 34.31, rel. 26; 2θ 46.17, rel. 23; 2θ 48.92, rel. 21; 2θ 53.58, rel. 29



Starting from a DFT-relaxed cell (PBE+U, the Materials Project), the X-ray powder pattern of Tb2WO6 was calculated for a wavelength of 1.5418 Å.
Kinematic intensities with the Lorentz-polarization factor, no thermal factor.

Crystal structure
a b c (Å): 16.4245 11.1733 5.4314
angles (deg): 90.00 107.24 90.00
Space group C2/c (No. 15)
Unique sites:
Tb 0.0000 0.1059 0.2500 (multiplicity 4)
Tb 0.0000 0.3664 0.7500 (multiplicity 4)
Tb 0.1710 0.1147 0.8832 (multiplicity 8)
W 0.1529 0.3526 0.4338 (multiplicity 8)
O 0.0764 0.2363 0.5792 (multiplicity 8)
O 0.0781 0.4662 0.4792 (multiplicity 8)
O 0.0916 0.0158 0.0783 (multiplicity 8)
O 0.1023 0.2779 0.1165 (multiplicity 8)
O 0.2326 0.2942 0.7373 (multiplicity 8)
O 0.2333 0.4493 0.3529 (multiplicity 8)

Largest 10 diffraction maxima, sorted by position, 2θ from 10° to 80°:
2θ 28.22, rel. 100; 2θ 28.94, rel. 86; 2θ 32.04, rel. 23; 2θ 33.01, rel. 22; 2θ 34.30, rel. 20; 2θ 46.66, rel. 24; 2θ 47.40, rel. 18; 2θ 47.64, rel. 24; 2θ 55.65, rel. 15; 2θ 57.38, rel. 14



Starting from a DFT-relaxed cell (PBE+U, the Materials Project), the X-ray powder pattern of ThTeWO7 was calculated for a wavelength of 1.5418 Å.
Kinematic intensities with the Lorentz-polarization factor, no thermal factor.

Crystal structure
a b c (Å): 4.0956 8.6814 15.6832
angles (deg): 90.00 92.72 90.00
Space group P2_1/c (No. 14)
Unique sites:
Th 0.0031 0.1367 0.2756 (multiplicity 4)
Te 0.4242 0.5746 0.6084 (multiplicity 4)
W 0.0882 0.1517 0.5553 (multiplicity 4)
O 0.0016 0.0862 0.4346 (multiplicity 4)
O 0.0107 0.0972 0.8464 (multiplicity 4)
O 0.0251 0.1439 0.0396 (multiplicity 4)
O 0.0339 0.1406 0.6769 (multiplicity 4)
O 0.4707 0.6463 0.9451 (multiplicity 4)
O 0.4910 0.7319 0.1689 (multiplicity 4)
O 0.4934 0.0690 0.2008 (multiplicity 4)

Largest 10 diffraction maxima, sorted by position, 2θ from 10° to 80°:
2θ 21.72, rel. 36; 2θ 24.48, rel. 18; 2θ 24.96, rel. 76; 2θ 26.71, rel. 100; 2θ 30.36, rel. 50; 2θ 30.83, rel. 38; 2θ 31.44, rel. 17; 2θ 34.04, rel. 20; 2θ 41.64, rel. 26; 2θ 44.28, rel. 18